[1]
Theoretical XRD peak list
Compound: Ag5PbCl8
Radiation: Cu Ka
Structure: a GGA-PBE-relaxed structure

Most intense lines, 5 to 70 degrees two-theta, low angle first:
22.0°, I = 39.4
25.8°, I = 100.0
31.3°, I = 13.3
38.6°, I = 18.4
41.0°, I = 47.5
44.8°, I = 58.8
50.4°, I = 7.3
52.4°, I = 14.1
60.6°, I = 11.1
62.3°, I = 22.9
65.2°, I = 8.6
69.7°, I = 6.0

Cell lengths 8.0900, 8.0900, 8.0900 Å; angles 60.00, 60.00, 60.00 degrees
Element x y z (fractional)
Ag1 0.0000 0.0000 0.0000
Ag2 0.1106 0.6298 0.6298
Ag3 0.6298 0.1106 0.6298
Ag4 0.6298 0.6298 0.1106
Ag5 0.6298 0.6298 0.6298
Pb1 0.2500 0.2500 0.2500
Cl1 0.3891 0.3891 0.3891
Cl2 0.3891 0.3891 0.8326
Cl3 0.3891 0.8326 0.3891
Cl4 0.3926 0.8691 0.8691
Cl5 0.8326 0.3891 0.3891
Cl6 0.8691 0.3926 0.8691
Cl7 0.8691 0.8691 0.3926
Cl8 0.8691 0.8691 0.8691


[2]
Theoretical XRD peak list
Compound: Ho3MgSc3
Radiation: Cu Ka
Structure: a GGA-PBE-relaxed structure

Most intense lines, 5 to 70 degrees two-theta, low angle first:
11.3°, I = 13.4
20.1°, I = 27.5
22.7°, I = 8.8
25.8°, I = 23.4
30.2°, I = 36.3
33.5°, I = 24.8
34.6°, I = 100.0
45.7°, I = 23.2
53.6°, I = 17.9
60.6°, I = 19.2
64.7°, I = 20.0
65.4°, I = 14.6

Cell lengths 9.0489, 9.0489, 5.3465 Å; angles 90.00, 90.00, 120.00 degrees
Element x y z (fractional)
Ho1 0.0990 0.6322 0.2500
Ho2 0.3678 0.4668 0.2500
Ho3 0.4668 0.0990 0.7500
Ho4 0.5332 0.9010 0.2500
Ho5 0.6322 0.5332 0.7500
Ho6 0.9010 0.3678 0.7500
Mg1 0.3333 0.6667 0.7500
Mg2 0.6667 0.3333 0.2500
Sc1 0.0517 0.8219 0.7500
Sc2 0.1781 0.2299 0.7500
Sc3 0.2299 0.0517 0.2500
Sc4 0.7701 0.9483 0.7500
Sc5 0.8219 0.7701 0.2500
Sc6 0.9483 0.1781 0.2500


[3]
Theoretical XRD peak list
Compound: AcPm3Y7
Radiation: Cu Ka
Structure: a GGA-PBE-relaxed structure

Most intense lines, 5 to 70 degrees two-theta, low angle first:
18.3°, I = 27.5
18.6°, I = 27.1
30.6°, I = 22.2
31.0°, I = 100.0
31.6°, I = 65.4
31.7°, I = 60.1
32.0°, I = 24.5
32.3°, I = 71.7
44.9°, I = 19.0
45.7°, I = 18.3
56.4°, I = 24.9
57.9°, I = 17.2

Cell lengths 7.0653, 5.6432, 10.0862 Å; angles 90.00, 108.65, 90.00 degrees
Element x y z (fractional)
Ac1 0.0000 0.0000 0.0000
Pm1 0.2807 0.5000 0.4954
Pm2 0.5000 0.0000 0.0000
Pm3 0.7193 0.5000 0.5046
Y1 0.0000 0.0000 0.5000
Y2 0.1441 0.5000 0.7861
Y3 0.3291 0.5000 0.1407
Y4 0.4300 0.0000 0.3314
Y5 0.5700 0.0000 0.6686
Y6 0.6709 0.5000 0.8593
Y7 0.8559 0.5000 0.2139